[1]
Structure and computed X-ray diffraction stick pattern of TbGdIn4 (a PBE-relaxed structure; λ = 1.5418 Å (Cu Kα)).
Intensities are scaled so that the largest is 100.

Largest 10 diffraction maxima, low angle first, 2θ = 10–80°:
2θ 29.73, I = 36, (2 2 0); 2θ 35.02, I = 100, (3 1 1); 2θ 36.63, I = 31, (2 2 2); 2θ 42.55, I = 2, (4 0 0); 2θ 52.76, I = 15, (4 2 2); 2θ 56.24, I = 34, (5 1 1); 2θ 61.74, I = 28, (4 4 0); 2θ 70.01, I = 6, (6 2 0); 2θ 72.99, I = 11, (5 3 3); 2θ 73.98, I = 11, (6 2 2)

Structure:
abc: 8.499 8.499 8.499
angles: 90.00 90.00 90.00
Space group F-43m (No. 216)
Asymmetric unit:
Tb1 0.000 0.000 0.000 (multiplicity 4)
Gd1 0.250 0.250 0.750 (multiplicity 4)
In1 0.125 0.125 0.375 (multiplicity 16)

[2]
Structure and computed X-ray diffraction stick pattern of ScTeAu2 (a PBE-relaxed structure; λ = 1.5418 Å (Cu Kα)).
Intensities are scaled so that the largest is 100.

Largest 10 diffraction maxima, low angle first, 2θ = 10–80°:
2θ 18.05, I = 32, (2 0 0); 2θ 30.82, I = 20, (1 1 -1); 2θ 33.36, I = 100, (1 1 1); 2θ 36.56, I = 37, (4 0 0); 2θ 38.38, I = 70, (3 1 -1); 2θ 40.84, I = 30, (2 0 -2); 2θ 47.28, I = 20, (0 2 0); 2θ 48.52, I = 16, (2 0 2); 2θ 61.21, I = 16, (4 2 0); 2θ 64.21, I = 16, (2 2 -2)

Structure:
abc: 10.068 3.845 4.546
angles: 90.00 102.47 90.00
Space group C2/m (No. 12)
Asymmetric unit:
Sc1 0.000 0.000 0.000 (multiplicity 2)
Te1 0.000 0.500 0.500 (multiplicity 2)
Au1 0.235 0.500 0.228 (multiplicity 4)